# 1
Calculated powder XRD pattern
Compound: PaMn2Si2Os
Radiation: a wavelength of 1.5418 Å
Structure: a structure optimized by DFT (PBE)
No peak broadening, texture or thermal motion is included.

Largest 10 diffraction maxima, in order of rising 2θ, 10° ≤ 2θ ≤ 80°:
| 2θ/deg | I/Imax |
| --- | --- |
| 19.18 | 91.7 |
| 27.26 | 100.0 |
| 38.93 | 60.8 |
| 39.61 | 94.4 |
| 43.75 | 24.0 |
| 52.85 | 19.9 |
| 56.24 | 20.7 |
| 56.75 | 65.9 |
| 63.60 | 18.6 |
| 70.96 | 16.8 |

Structure:
Cell lengths 4.627, 4.627, 5.227 Å; angles 90.00, 90.00, 90.00 degrees
Fractional positions:
Pa: 0.000 0.000 0.000
Mn: 0.500 0.500 0.252
Mn: 0.500 0.500 0.748
Si: 0.000 0.500 0.500
Si: 0.500 0.000 0.500
Os: 0.000 0.000 0.500


# 2
Calculated powder XRD pattern
Compound: ThPaCd17
Radiation: a wavelength of 1.5418 Å
Structure: a structure optimized by DFT (PBE)
No peak broadening, texture or thermal motion is included.

Largest 10 diffraction maxima, in order of rising 2θ, 10° ≤ 2θ ≤ 80°:
| 2θ/deg | I/Imax |
| --- | --- |
| 25.13 | 9.7 |
| 30.76 | 27.2 |
| 31.53 | 15.4 |
| 35.73 | 100.0 |
| 36.01 | 18.9 |
| 36.38 | 23.0 |
| 40.12 | 13.5 |
| 54.69 | 7.4 |
| 64.07 | 8.5 |
| 64.56 | 21.0 |

Structure:
Cell lengths 7.660, 7.660, 7.660 Å; angles 82.18, 82.18, 82.18 degrees
Fractional positions:
Th: 0.000 0.000 0.000
Pa: 0.664 0.664 0.664
Cd: 0.030 0.338 0.637
Cd: 0.030 0.637 0.338
Cd: 0.213 0.679 0.679
Cd: 0.243 0.243 0.243
Cd: 0.311 0.311 0.861
Cd: 0.311 0.861 0.311
Cd: 0.338 0.030 0.637
Cd: 0.338 0.637 0.030
Cd: 0.439 0.439 0.439
Cd: 0.546 0.959 0.959
Cd: 0.637 0.030 0.338
Cd: 0.637 0.338 0.030
Cd: 0.679 0.213 0.679
Cd: 0.679 0.679 0.213
Cd: 0.861 0.311 0.311
Cd: 0.959 0.546 0.959
Cd: 0.959 0.959 0.546


# 3
Calculated powder XRD pattern
Compound: Rb4Ag5Te6
Radiation: a wavelength of 1.5418 Å
Structure: a structure optimized by DFT (PBE)
No peak broadening, texture or thermal motion is included.

Largest 10 diffraction maxima, in order of rising 2θ, 10° ≤ 2θ ≤ 80°:
| 2θ/deg | I/Imax |
| --- | --- |
| 25.94 | 47.8 |
| 27.77 | 52.6 |
| 28.15 | 42.5 |
| 28.58 | 42.4 |
| 31.05 | 45.4 |
| 33.27 | 32.6 |
| 36.39 | 51.1 |
| 36.63 | 74.1 |
| 39.39 | 100.0 |
| 52.58 | 33.9 |

Structure:
Cell lengths 10.904, 10.904, 19.755 Å; angles 90.00, 90.00, 154.00 degrees
Fractional positions:
Rb: 0.004 0.996 0.500
Rb: 0.004 0.996 0.756
Rb: 0.181 0.819 0.309
Rb: 0.181 0.819 0.947
Rb: 0.819 0.181 0.447
Rb: 0.819 0.181 0.809
Rb: 0.996 0.004 0.000
Rb: 0.996 0.004 0.256
Ag: 0.134 0.866 0.628
Ag: 0.279 0.721 0.628
Ag: 0.362 0.638 0.007
Ag: 0.362 0.638 0.249
Ag: 0.424 0.576 0.628
Ag: 0.576 0.424 0.128
Ag: 0.638 0.362 0.507
Ag: 0.638 0.362 0.749
Ag: 0.721 0.279 0.128
Ag: 0.866 0.134 0.128
Te: 0.138 0.862 0.128
Te: 0.205 0.795 0.752
Te: 0.206 0.794 0.505
Te: 0.433 0.567 0.881
Te: 0.434 0.566 0.375
Te: 0.444 0.556 0.128
Te: 0.556 0.444 0.628
Te: 0.566 0.434 0.875
Te: 0.567 0.433 0.381
Te: 0.794 0.206 0.005
Te: 0.795 0.205 0.252
Te: 0.862 0.138 0.628


# 4
Calculated powder XRD pattern
Compound: La2PmNd4Er
Radiation: a wavelength of 1.5418 Å
Structure: a structure optimized by DFT (PBE)
No peak broadening, texture or thermal motion is included.

Largest 10 diffraction maxima, in order of rising 2θ, 10° ≤ 2θ ≤ 80°:
| 2θ/deg | I/Imax |
| --- | --- |
| 29.78 | 100.0 |
| 34.37 | 17.1 |
| 34.54 | 16.9 |
| 34.65 | 16.7 |
| 49.54 | 18.3 |
| 49.70 | 18.1 |
| 58.75 | 14.6 |
| 58.98 | 14.4 |
| 59.12 | 14.3 |
| 61.85 | 12.5 |

Structure:
Cell lengths 5.178, 5.193, 10.438 Å; angles 90.00, 90.08, 90.00 degrees
Fractional positions:
La: 0.000 0.000 0.000
La: 0.500 0.500 0.500
Pm: 0.000 0.000 0.500
Nd: 0.001 0.500 0.752
Nd: 0.500 0.000 0.249
Nd: 0.500 0.000 0.751
Nd: 0.999 0.500 0.248
Er: 0.500 0.500 0.000


# 5
Calculated powder XRD pattern
Compound: CrIr8Ru5
Radiation: a wavelength of 1.5418 Å
Structure: a structure optimized by DFT (PBE)
No peak broadening, texture or thermal motion is included.

Largest 10 diffraction maxima, in order of rising 2θ, 10° ≤ 2θ ≤ 80°:
| 2θ/deg | I/Imax |
| --- | --- |
| 29.14 | 48.9 |
| 37.70 | 49.7 |
| 37.94 | 100.0 |
| 41.63 | 26.4 |
| 45.04 | 73.8 |
| 45.19 | 83.4 |
| 51.72 | 21.1 |
| 63.23 | 15.4 |
| 73.52 | 19.7 |
| 78.53 | 18.5 |

Structure:
Cell lengths 6.508, 6.508, 6.508 Å; angles 109.66, 109.66, 109.09 degrees
Fractional positions:
Cr: 0.000 0.000 0.000
Ir: 0.109 0.300 0.421
Ir: 0.178 0.404 0.911
Ir: 0.311 0.891 0.190
Ir: 0.493 0.266 0.089
Ir: 0.596 0.507 0.773
Ir: 0.700 0.121 0.810
Ir: 0.734 0.822 0.227
Ir: 0.879 0.689 0.579
Ru: 0.227 0.027 0.592
Ru: 0.365 0.773 0.800
Ru: 0.436 0.635 0.408
Ru: 0.750 0.250 0.500
Ru: 0.973 0.564 0.200


# 6
Calculated powder XRD pattern
Compound: KRbHg
Radiation: a wavelength of 1.5418 Å
Structure: a structure optimized by DFT (PBE)
No peak broadening, texture or thermal motion is included.

Largest 10 diffraction maxima, in order of rising 2θ, 10° ≤ 2θ ≤ 80°:
| 2θ/deg | I/Imax |
| --- | --- |
| 10.57 | 56.7 |
| 12.86 | 100.0 |
| 18.26 | 50.7 |
| 18.89 | 57.1 |
| 24.68 | 51.3 |
| 25.44 | 53.9 |
| 26.82 | 73.9 |
| 31.25 | 60.6 |
| 32.05 | 62.9 |
| 33.53 | 43.8 |

Structure:
Cell lengths 7.479, 7.479, 10.029 Å; angles 120.98, 120.98, 41.88 degrees
Fractional positions:
K: 0.000 0.000 0.000
K: 0.599 0.599 0.728
Rb: 0.360 0.360 0.174
Rb: 0.771 0.771 0.459
Hg: 0.066 0.066 0.438
Hg: 0.301 0.301 0.754


# 7
Calculated powder XRD pattern
Compound: Sr2LiO12
Radiation: a wavelength of 1.5418 Å
Structure: a structure optimized by DFT (PBE)
No peak broadening, texture or thermal motion is included.

Largest 10 diffraction maxima, in order of rising 2θ, 10° ≤ 2θ ≤ 80°:
| 2θ/deg | I/Imax |
| --- | --- |
| 18.34 | 100.0 |
| 19.97 | 47.3 |
| 20.52 | 37.7 |
| 20.96 | 90.2 |
| 32.57 | 47.0 |
| 34.53 | 37.9 |
| 36.20 | 66.2 |
| 36.98 | 36.4 |
| 39.35 | 31.3 |
| 48.88 | 36.7 |

Structure:
Cell lengths 4.964, 6.111, 8.076 Å; angles 90.28, 107.66, 112.54 degrees
Fractional positions:
Sr: 0.125 0.330 0.240
Sr: 0.875 0.670 0.760
Li: 0.500 0.000 0.500
O: 0.103 0.968 0.556
O: 0.105 0.721 0.111
O: 0.225 0.929 0.211
O: 0.282 0.563 0.671
O: 0.357 0.637 0.528
O: 0.459 0.901 0.954
O: 0.541 0.099 0.046
O: 0.643 0.363 0.472
O: 0.718 0.437 0.329
O: 0.775 0.071 0.789
O: 0.895 0.279 0.889
O: 0.897 0.032 0.444


# 8
Calculated powder XRD pattern
Compound: La2NdCdCo
Radiation: a wavelength of 1.5418 Å
Structure: a structure optimized by DFT (PBE)
No peak broadening, texture or thermal motion is included.

Largest 10 diffraction maxima, in order of rising 2θ, 10° ≤ 2θ ≤ 80°:
| 2θ/deg | I/Imax |
| --- | --- |
| 28.42 | 35.8 |
| 29.19 | 94.9 |
| 31.31 | 36.6 |
| 31.68 | 29.0 |
| 32.90 | 100.0 |
| 34.59 | 22.2 |
| 37.12 | 19.7 |
| 46.00 | 28.9 |
| 48.29 | 23.1 |
| 53.95 | 20.5 |

Structure:
Cell lengths 7.565, 3.946, 9.746 Å; angles 90.00, 96.26, 90.00 degrees
Fractional positions:
La: 0.155 0.250 0.308
La: 0.309 0.750 0.618
La: 0.691 0.250 0.382
La: 0.845 0.750 0.692
Nd: 0.163 0.250 0.917
Nd: 0.837 0.750 0.083
Cd: 0.417 0.750 0.127
Cd: 0.583 0.250 0.873
Co: 0.057 0.250 0.606
Co: 0.943 0.750 0.394